Diffraction record for Ba3V4O13. The X-ray powder pattern is simulated, not measured: it uses the GGA+U geometry in the Materials Project and copper Kα.
Intensities are scaled so that the largest is 100.

Main lines, low angle first (2θ = 10–90°):
| 2θ (°) | Rel. int. |
| --- | --- |
| 22.89 | 44 |
| 23.94 | 69 |
| 24.87 | 100 |
| 26.27 | 54 |
| 26.45 | 53 |
| 40.72 | 47 |

Structure:
a = 9.294 Å, b = 9.294 Å, c = 10.435 Å
α = 109.05°, β = 109.05°, γ = 58.67°
Atoms (fractional coordinates):
Ba1 0.031 0.374 0.690
Ba2 0.111 0.889 0.750
Ba3 0.374 0.031 0.190
Ba4 0.626 0.969 0.810
Ba5 0.889 0.111 0.250
Ba6 0.969 0.626 0.310
V1 0.101 0.720 0.002
V2 0.280 0.899 0.498
V3 0.371 0.405 0.635
V4 0.405 0.371 0.135
V5 0.595 0.629 0.865
V6 0.629 0.595 0.365
V7 0.720 0.101 0.502
V8 0.899 0.280 0.998
O1 0.010 0.279 0.166
O2 0.033 0.215 0.887
O3 0.143 0.814 0.461
O4 0.161 0.512 0.564
O5 0.186 0.857 0.039
O6 0.215 0.033 0.387
O7 0.271 0.498 0.005
O8 0.279 0.010 0.666
O9 0.280 0.383 0.229
O10 0.383 0.280 0.729
O11 0.432 0.568 0.750
O12 0.488 0.839 0.936
O13 0.498 0.271 0.505
O14 0.502 0.729 0.495
O15 0.512 0.161 0.064
O16 0.568 0.432 0.250
O17 0.617 0.720 0.271
O18 0.720 0.617 0.771
O19 0.721 0.990 0.334
O20 0.729 0.502 0.995
O21 0.785 0.967 0.613
O22 0.814 0.143 0.961
O23 0.839 0.488 0.436
O24 0.857 0.186 0.539
O25 0.967 0.785 0.113
O26 0.990 0.721 0.834

***

Diffraction record for Rb3Mn16O32. The X-ray powder pattern is simulated, not measured: it uses the GGA+U geometry in the Materials Project and copper Kα.
Intensities are scaled so that the largest is 100.

Main lines, low angle first (2θ = 10–90°):
| 2θ (°) | Rel. int. |
| --- | --- |
| 28.05 | 100 |
| 36.29 | 53 |
| 40.63 | 26 |
| 48.32 | 30 |
| 58.40 | 35 |
| 67.48 | 23 |

Structure:
a = 8.388 Å, b = 8.391 Å, c = 10.268 Å
α = 112.51°, β = 101.79°, γ = 106.31°
Atoms (fractional coordinates):
Rb1 0.000 0.000 0.000
Rb2 0.295 0.000 0.295
Rb3 0.705 0.000 0.705
Mn1 0.015 0.184 0.501
Mn2 0.048 0.488 0.864
Mn3 0.202 0.513 0.387
Mn4 0.234 0.816 0.749
Mn5 0.264 0.184 0.752
Mn6 0.297 0.486 0.114
Mn7 0.453 0.514 0.637
Mn8 0.486 0.816 0.998
Mn9 0.514 0.184 0.002
Mn10 0.547 0.486 0.363
Mn11 0.703 0.514 0.886
Mn12 0.736 0.816 0.248
Mn13 0.766 0.184 0.251
Mn14 0.798 0.487 0.613
Mn15 0.952 0.512 0.136
Mn16 0.985 0.816 0.499
O1 0.040 0.360 0.990
O2 0.042 0.626 0.751
O3 0.080 0.950 0.721
O4 0.092 0.292 0.719
O5 0.155 0.707 0.532
O6 0.167 0.050 0.531
O7 0.208 0.635 0.257
O8 0.209 0.374 0.500
O9 0.292 0.359 0.242
O10 0.292 0.625 0.001
O11 0.332 0.950 0.973
O12 0.342 0.291 0.969
O13 0.407 0.709 0.781
O14 0.415 0.049 0.780
O15 0.457 0.636 0.506
O16 0.458 0.377 0.751
O17 0.542 0.623 0.249
O18 0.543 0.364 0.494
O19 0.585 0.951 0.220
O20 0.593 0.291 0.219
O21 0.658 0.709 0.031
O22 0.668 0.050 0.027
O23 0.708 0.375 0.999
O24 0.708 0.641 0.758
O25 0.791 0.626 0.500
O26 0.792 0.365 0.743
O27 0.833 0.950 0.469
O28 0.845 0.293 0.468
O29 0.908 0.708 0.281
O30 0.920 0.050 0.279
O31 0.958 0.374 0.249
O32 0.960 0.640 0.010

***

Diffraction record for FeNiP2O8. The X-ray powder pattern is simulated, not measured: it uses the GGA+U geometry in the Materials Project and copper Kα.
Intensities are scaled so that the largest is 100.

Main lines, low angle first (2θ = 10–90°):
| 2θ (°) | Rel. int. |
| --- | --- |
| 17.88 | 75 |
| 20.43 | 89 |
| 25.54 | 100 |
| 30.59 | 76 |
| 36.27 | 51 |
| 36.37 | 55 |

Structure:
a = 4.835 Å, b = 5.845 Å, c = 9.922 Å
α = 90.00°, β = 90.19°, γ = 90.00°
Atoms (fractional coordinates):
Fe1 0.034 0.250 0.273
Fe2 0.966 0.750 0.727
Ni1 0.457 0.250 0.774
Ni2 0.543 0.750 0.226
P1 0.082 0.750 0.402
P2 0.415 0.750 0.906
P3 0.585 0.250 0.094
P4 0.918 0.250 0.598
O1 0.157 0.750 0.553
O2 0.224 0.544 0.329
O3 0.224 0.956 0.329
O4 0.233 0.250 0.609
O5 0.264 0.548 0.830
O6 0.264 0.952 0.830
O7 0.274 0.250 0.114
O8 0.338 0.750 0.056
O9 0.662 0.250 0.944
O10 0.726 0.750 0.886
O11 0.736 0.048 0.170
O12 0.736 0.452 0.170
O13 0.767 0.750 0.391
O14 0.776 0.044 0.671
O15 0.776 0.456 0.671
O16 0.843 0.250 0.447

***

Diffraction record for K2HgMoF6. The X-ray powder pattern is simulated, not measured: it uses the GGA+U geometry in the Materials Project and copper Kα.
Intensities are scaled so that the largest is 100.

Main lines, low angle first (2θ = 10–90°):
| 2θ (°) | Rel. int. |
| --- | --- |
| 18.18 | 62 |
| 25.82 | 100 |
| 36.84 | 35 |
| 41.37 | 27 |
| 45.53 | 37 |
| 72.47 | 23 |

Structure:
a = 6.901 Å, b = 6.901 Å, c = 6.901 Å
α = 60.00°, β = 60.00°, γ = 60.00°
Atoms (fractional coordinates):
K1 0.250 0.250 0.250
K2 0.750 0.750 0.750
Hg1 0.000 0.000 0.000
Mo1 0.500 0.500 0.500
F1 0.297 0.297 0.703
F2 0.297 0.703 0.297
F3 0.297 0.703 0.703
F4 0.703 0.297 0.297
F5 0.703 0.297 0.703
F6 0.703 0.703 0.297

***

Diffraction record for Sr3MnFeO7. The X-ray powder pattern is simulated, not measured: it uses the GGA+U geometry in the Materials Project and copper Kα.
Intensities are scaled so that the largest is 100.

Main lines, low angle first (2θ = 10–90°):
| 2θ (°) | Rel. int. |
| --- | --- |
| 31.83 | 100 |
| 32.49 | 67 |
| 42.30 | 24 |
| 46.60 | 47 |
| 57.55 | 37 |
| 66.52 | 17 |

Structure:
a = 10.514 Å, b = 10.514 Å, c = 10.514 Å
α = 158.64°, β = 158.64°, γ = 30.39°
Atoms (fractional coordinates):
Sr1 0.000 0.000 0.000
Sr2 0.182 0.182 0.000
Sr3 0.816 0.816 0.000
Mn1 0.598 0.598 0.000
Fe1 0.403 0.403 0.000
O1 0.095 0.595 0.500
O2 0.306 0.306 0.000
O3 0.403 0.903 0.500
O4 0.500 0.500 0.000
O5 0.595 0.095 0.500
O6 0.693 0.693 0.000
O7 0.903 0.403 0.500

***

Diffraction record for LiV2P3O12. The X-ray powder pattern is simulated, not measured: it uses the GGA+U geometry in the Materials Project and copper Kα.
Intensities are scaled so that the largest is 100.

Main lines, low angle first (2θ = 10–90°):
| 2θ (°) | Rel. int. |
| --- | --- |
| 15.80 | 33 |
| 16.11 | 100 |
| 25.68 | 22 |
| 29.42 | 40 |
| 32.57 | 39 |
| 32.99 | 25 |

Structure:
a = 8.667 Å, b = 8.667 Å, c = 6.333 Å
α = 106.23°, β = 106.23°, γ = 92.18°
Atoms (fractional coordinates):
Li1 0.000 0.000 0.000
Li2 0.000 0.000 0.500
V1 0.125 0.441 0.864
V2 0.441 0.125 0.364
V3 0.559 0.875 0.636
V4 0.875 0.559 0.136
P1 0.144 0.336 0.350
P2 0.221 0.779 0.250
P3 0.336 0.144 0.850
P4 0.664 0.856 0.150
P5 0.779 0.221 0.750
P6 0.856 0.664 0.650
O1 0.034 0.182 0.269
O2 0.047 0.750 0.268
O3 0.096 0.440 0.176
O4 0.137 0.453 0.584
O5 0.182 0.034 0.769
O6 0.235 0.649 0.033
O7 0.250 0.953 0.232
O8 0.304 0.325 0.888
O9 0.325 0.304 0.388
O10 0.351 0.765 0.467
O11 0.440 0.096 0.676
O12 0.453 0.137 0.084
O13 0.547 0.863 0.916
O14 0.560 0.904 0.324
O15 0.649 0.235 0.533
O16 0.675 0.696 0.612
O17 0.696 0.675 0.112
O18 0.750 0.047 0.768
O19 0.765 0.351 0.967
O20 0.818 0.966 0.231
O21 0.863 0.547 0.416
O22 0.904 0.560 0.824
O23 0.953 0.250 0.732
O24 0.966 0.818 0.731